# HgC4Br3N
Computed X-ray powder pattern, λ = 1.5418 Å (Cu Kα). Input: a crystal structure in the Materials Project, relaxed with PBE.
Lines closer than 0.1° are merged.

The 12 most intense peaks (5° ≤ 2θ ≤ 70°), sorted by position:
2theta	d [Å]	Rel. int.
9.91	8.921	65
10.68	8.282	100
14.31	6.189	32
19.90	4.462	34
20.43	4.347	25
20.67	4.297	22
21.27	4.177	50
22.46	3.959	34
25.58	3.483	25
25.91	3.439	21
29.63	3.015	20
41.53	2.174	16

Structure:
```
data_HgC4Br3N
_chemical_formula_sum 'Hg4 C16 Br12 N4'
_cell_length_a 8.6649
_cell_length_b 17.8430
_cell_length_c 9.4279
_cell_angle_alpha 90.00
_cell_angle_beta 97.36
_cell_angle_gamma 90.00
_symmetry_space_group_name_H-M 'P 1'
_symmetry_Int_Tables_number 1
_symmetry_space_group_name_Hall 'P 1'
loop_
_atom_site_label
_atom_site_fract_x
_atom_site_fract_y
_atom_site_fract_z
Hg1 0.0732 0.0000 0.0628
Hg2 0.4070 0.5916 0.7064
Hg3 0.5930 0.0916 0.2936
Hg4 0.9268 0.5000 0.9372
C1 0.0437 0.3167 0.6529
C2 0.0548 0.2465 0.6610
C3 0.0703 0.1742 0.6749
C4 0.0900 0.0487 0.5641
C5 0.4156 0.8551 0.8116
C6 0.4193 0.8587 0.9492
C7 0.4247 0.8523 0.5497
C8 0.4387 0.8522 0.4192
C9 0.5613 0.3522 0.5808
C10 0.5753 0.3523 0.4503
C11 0.5807 0.3587 0.0508
C12 0.5844 0.3551 0.1884
C13 0.9100 0.5487 0.4359
C14 0.9298 0.6742 0.3251
C15 0.9452 0.7465 0.3390
C16 0.9563 0.8167 0.3471
Br1 0.0020 0.9090 0.4132
Br2 0.0264 0.3801 0.0296
Br3 0.1863 0.1188 0.1533
Br4 0.3273 0.5817 0.9444
Br5 0.4388 0.8549 0.2269
Br6 0.4546 0.6018 0.4585
Br7 0.5454 0.1018 0.5415
Br8 0.5612 0.3549 0.7731
Br9 0.6727 0.0817 0.0556
Br10 0.8137 0.6188 0.8467
Br11 0.9736 0.8801 0.9704
Br12 0.9980 0.4090 0.5868
N1 0.0818 0.1097 0.6180
N2 0.4141 0.8520 0.6802
N3 0.5859 0.3520 0.3198
N4 0.9182 0.6097 0.3820
```

# CoGe
Computed X-ray powder pattern, λ = 1.5418 Å (Cu Kα). Input: a crystal structure in the Materials Project, relaxed with PBE.
Lines closer than 0.1° are merged.

The 12 most intense peaks (5° ≤ 2θ ≤ 70°), sorted by position:
2theta	d [Å]	Rel. int.
24.92	3.574	21
31.85	2.810	18
33.31	2.690	45
36.23	2.480	25
40.17	2.245	17
42.73	2.116	36
44.53	2.035	23
46.10	1.969	100
46.27	1.962	59
47.40	1.918	89
48.45	1.879	60
66.55	1.405	17

Structure:
```
data_CoGe
_chemical_formula_sum 'Co8 Ge8'
_cell_length_a 11.7253
_cell_length_b 3.7576
_cell_length_c 4.9277
_cell_angle_alpha 90.00
_cell_angle_beta 99.64
_cell_angle_gamma 90.00
_symmetry_space_group_name_H-M 'P 1'
_symmetry_Int_Tables_number 1
_symmetry_space_group_name_Hall 'P 1'
loop_
_atom_site_label
_atom_site_fract_x
_atom_site_fract_y
_atom_site_fract_z
Co1 0.0000 0.0000 0.0000
Co2 0.0000 0.0000 0.5000
Co3 0.1970 0.0000 0.3260
Co4 0.3030 0.5000 0.6740
Co5 0.5000 0.5000 0.0000
Co6 0.5000 0.5000 0.5000
Co7 0.6970 0.5000 0.3260
Co8 0.8030 0.0000 0.6740
Ge1 0.0701 0.5000 0.2823
Ge2 0.1832 0.0000 0.8190
Ge3 0.3168 0.5000 0.1810
Ge4 0.4299 0.0000 0.7177
Ge5 0.5701 0.0000 0.2823
Ge6 0.6832 0.5000 0.8190
Ge7 0.8168 0.0000 0.1810
Ge8 0.9299 0.5000 0.7177
```

# MgI2O6
Computed X-ray powder pattern, λ = 1.5418 Å (Cu Kα). Input: a crystal structure in the Materials Project, relaxed with PBE.
Lines closer than 0.1° are merged.

The 12 most intense peaks (5° ≤ 2θ ≤ 70°), sorted by position:
2theta	d [Å]	Rel. int.
21.94	4.051	47
22.60	3.934	49
23.28	3.821	100
24.96	3.568	44
25.89	3.442	22
26.46	3.369	26
27.54	3.239	43
30.26	2.954	40
30.81	2.902	29
41.48	2.177	24
47.98	1.896	22
52.81	1.733	26

Structure:
```
data_MgI2O6
_chemical_formula_sum 'Mg4 I8 O24'
_cell_length_a 5.3903
_cell_length_b 5.7045
_cell_length_c 17.2638
_cell_angle_alpha 90.00
_cell_angle_beta 90.00
_cell_angle_gamma 90.00
_symmetry_space_group_name_H-M 'P 1'
_symmetry_Int_Tables_number 1
_symmetry_space_group_name_Hall 'P 1'
loop_
_atom_site_label
_atom_site_fract_x
_atom_site_fract_y
_atom_site_fract_z
Mg1 0.2131 0.1680 0.0947
Mg2 0.2869 0.8320 0.5947
Mg3 0.7131 0.3320 0.9053
Mg4 0.7869 0.6680 0.4053
I1 0.0317 0.8631 0.9247
I2 0.2466 0.7208 0.2935
I3 0.2534 0.2792 0.7935
I4 0.4683 0.1369 0.4247
I5 0.5317 0.6369 0.0753
I6 0.7466 0.7792 0.7065
I7 0.7534 0.2208 0.2065
I8 0.9683 0.3631 0.5753
O1 0.0255 0.0262 0.2014
O2 0.0305 0.4767 0.8425
O3 0.0663 0.6174 0.5164
O4 0.1101 0.5043 0.6635
O5 0.1196 0.8789 0.3792
O6 0.2355 0.1702 0.5468
O7 0.2645 0.8298 0.0468
O8 0.3804 0.1211 0.8792
O9 0.3899 0.4957 0.1635
O10 0.4337 0.3826 0.0164
O11 0.4695 0.5233 0.3425
O12 0.4745 0.9738 0.7014
O13 0.5255 0.4738 0.7986
O14 0.5305 0.0233 0.1575
O15 0.5663 0.8826 0.4836
O16 0.6101 0.9957 0.3365
O17 0.6196 0.6211 0.6208
O18 0.7355 0.3298 0.4532
O19 0.7645 0.6702 0.9532
O20 0.8804 0.3789 0.1208
O21 0.8899 0.0043 0.8365
O22 0.9337 0.1174 0.9836
O23 0.9695 0.9767 0.6575
O24 0.9745 0.5262 0.2986
```

# Y2InNi2
Computed X-ray powder pattern, λ = 1.5418 Å (Cu Kα). Input: a crystal structure in the Materials Project, relaxed with PBE.
Lines closer than 0.1° are merged.

The 12 most intense peaks (5° ≤ 2θ ≤ 70°), sorted by position:
2theta	d [Å]	Rel. int.
29.51	3.027	13
33.98	2.638	20
34.15	2.625	64
36.27	2.477	100
38.14	2.360	60
45.62	1.989	10
49.32	1.848	19
50.43	1.810	10
56.63	1.625	11
58.09	1.588	15
64.00	1.455	25
69.03	1.361	18

Structure:
```
data_Y2InNi2
_chemical_formula_sum 'Y4 In2 Ni4'
_cell_length_a 7.4614
_cell_length_b 7.4614
_cell_length_c 3.6956
_cell_angle_alpha 90.00
_cell_angle_beta 90.00
_cell_angle_gamma 90.00
_symmetry_space_group_name_H-M 'P 1'
_symmetry_Int_Tables_number 1
_symmetry_space_group_name_Hall 'P 1'
loop_
_atom_site_label
_atom_site_fract_x
_atom_site_fract_y
_atom_site_fract_z
Y1 0.1742 0.3258 0.0000
Y2 0.3258 0.8258 0.0000
Y3 0.6742 0.1742 0.0000
Y4 0.8258 0.6742 0.0000
In1 0.0000 0.0000 0.5000
In2 0.5000 0.5000 0.5000
Ni1 0.1203 0.6203 0.5000
Ni2 0.3797 0.1203 0.5000
Ni3 0.6203 0.8797 0.5000
Ni4 0.8797 0.3797 0.5000
```